Li8CoO5F: simulated powder XRD pattern (Cu Kα X-rays), based on a cell relaxed with PBE+U.

Crystal structure
abc: 5.2961 5.5537 5.7962
angles: 93.83 112.10 116.12
Space group P1 (No. 1)
One atom of each set of equivalent atoms:
1 Li 0.0000 0.0000 0.0000 x1
2 Li 0.0019 0.8607 0.3865 x1
3 Li 0.1526 0.2805 0.7142 x1
4 Li 0.3831 0.7234 0.0162 x1
5 Li 0.5100 0.9623 0.7110 x1
6 Li 0.5249 0.1556 0.3116 x1
7 Li 0.6536 0.3793 0.9893 x1
8 Li 0.8221 0.5748 0.6939 x1
9 Co 0.1716 0.4428 0.3107 x1
10 O 0.0628 0.7081 0.1018 x1
11 O 0.1412 0.5920 0.5931 x1
12 O 0.3619 0.3859 0.1107 x1
13 O 0.4202 0.2390 0.5900 x1
14 O 0.7499 0.0916 0.1146 x1
15 F 0.8077 0.9124 0.6296 x1

Principal peaks in the range 2θ from 10° to 90°, in order of rising 2θ:
| d/Å | 2θ (°) | I_rel |
| --- | --- | --- |
| 5.157 | 17.2 | 70 |
| 4.788 | 18.5 | 64 |
| 4.393 | 20.2 | 67 |
| 4.240 | 21.0 | 70 |
| 2.592 | 34.6 | 100 |
| 2.464 | 36.5 | 78 |

Li5Co5O9F: simulated powder XRD pattern (Cu Kα X-rays), based on a cell relaxed with PBE+U.

Crystal structure
abc: 5.0137 5.1238 7.8163
angles: 71.49 72.35 79.24
Space group P1 (No. 1)
One atom of each set of equivalent atoms:
1 Li 0.0000 0.0000 0.0000 x1
2 Li 0.1858 0.9881 0.6124 x1
3 Li 0.3912 0.9865 0.1985 x1
4 Li 0.6021 0.9933 0.7985 x1
5 Li 0.8086 0.9892 0.4082 x1
6 Co 0.0812 0.4934 0.3037 x1
7 Co 0.2988 0.4950 0.9049 x1
8 Co 0.5159 0.5060 0.5073 x1
9 Co 0.7064 0.5007 0.0915 x1
10 Co 0.9045 0.4981 0.7040 x1
11 O 0.0237 0.2531 0.1534 x1
12 O 0.1573 0.7050 0.4649 x1
13 O 0.2424 0.2796 0.7570 x1
14 O 0.3593 0.7062 0.0542 x1
15 O 0.5730 0.7303 0.6552 x1
16 O 0.6476 0.2802 0.9457 x1
17 O 0.7244 0.7161 0.2488 x1
18 O 0.8332 0.2541 0.5569 x1
19 O 0.9682 0.7292 0.8541 x1
20 F 0.4407 0.2107 0.3622 x1

Principal peaks in the range 2θ from 10° to 90°, in order of rising 2θ:
| d/Å | 2θ (°) | I_rel |
| --- | --- | --- |
| 4.834 | 18.4 | 100 |
| 2.555 | 35.1 | 18 |
| 2.134 | 42.3 | 29 |
| 2.081 | 43.5 | 26 |
| 2.033 | 44.6 | 24 |
| 1.490 | 62.3 | 15 |

LiCo6O2F10: simulated powder XRD pattern (Cu Kα X-rays), based on a cell relaxed with PBE+U.

Crystal structure
abc: 5.1577 5.2074 9.1765
angles: 90.65 90.73 100.13
Space group P1 (No. 1)
One atom of each set of equivalent atoms:
1 Li 0.0000 0.0000 0.0000 x1
2 Co 0.1675 0.8813 0.4977 x1
3 Co 0.2863 0.7688 0.8076 x1
4 Co 0.2932 0.7743 0.1907 x1
5 Co 0.6877 0.2931 0.6583 x1
6 Co 0.6910 0.3495 0.9976 x1
7 Co 0.7613 0.3600 0.3388 x1
8 O 0.0522 0.6598 0.3453 x1
9 O 0.3941 0.9956 0.6485 x1
10 F 0.0285 0.6385 0.9945 x1
11 F 0.3810 0.0164 0.0018 x1
12 F 0.4275 0.0630 0.3325 x1
13 F 0.5041 0.4951 0.8340 x1
14 F 0.5497 0.5409 0.1607 x1
15 F 0.5598 0.4924 0.4981 x1
16 F 0.8511 0.1431 0.8435 x1
17 F 0.8778 0.1733 0.1542 x1
18 F 0.9168 0.1364 0.4992 x1
19 F 0.9893 0.6196 0.6712 x1

Principal peaks in the range 2θ from 10° to 90°, in order of rising 2θ:
| d/Å | 2θ (°) | I_rel |
| --- | --- | --- |
| 3.974 | 22.4 | 100 |
| 3.326 | 26.8 | 78 |
| 2.640 | 34.0 | 35 |
| 2.424 | 37.1 | 23 |
| 1.664 | 55.2 | 17 |
| 1.529 | 60.6 | 16 |

LiCo6O2F10: simulated powder XRD pattern (Cu Kα X-rays), based on a cell relaxed with PBE+U.

Crystal structure
abc: 4.8259 4.8634 9.4140
angles: 91.03 90.85 92.34
Space group P1 (No. 1)
One atom of each set of equivalent atoms:
1 Li 0.0000 0.0000 0.0000 x1
2 Co 0.0095 0.5076 0.0828 x1
3 Co 0.0456 0.5453 0.4147 x1
4 Co 0.5061 0.0143 0.8861 x1
5 Co 0.5080 0.0076 0.2566 x1
6 Co 0.5104 0.0112 0.5720 x1
7 Co 0.9727 0.4762 0.7296 x1
8 O 0.3351 0.8363 0.4188 x1
9 O 0.6879 0.1843 0.7290 x1
10 F 0.1793 0.2921 0.9138 x1
11 F 0.2172 0.3059 0.5739 x1
12 F 0.2188 0.3237 0.2373 x1
13 F 0.2848 0.7868 0.7372 x1
14 F 0.3065 0.8254 0.0662 x1
15 F 0.7099 0.1917 0.0735 x1
16 F 0.7313 0.2328 0.4127 x1
17 F 0.8041 0.7167 0.5730 x1
18 F 0.8136 0.7009 0.9144 x1
19 F 0.8316 0.7273 0.2364 x1

Principal peaks in the range 2θ from 10° to 90°, in order of rising 2θ:
| d/Å | 2θ (°) | I_rel |
| --- | --- | --- |
| 3.495 | 25.5 | 100 |
| 3.354 | 26.6 | 91 |
| 2.658 | 33.7 | 27 |
| 2.612 | 34.3 | 48 |
| 1.795 | 50.9 | 31 |
| 1.747 | 52.4 | 34 |

Li8CoO5F: simulated powder XRD pattern (Cu Kα X-rays), based on a cell relaxed with PBE+U.

Crystal structure
abc: 5.4413 5.7675 8.6226
angles: 98.24 95.17 92.52
Space group P1 (No. 1)
One atom of each set of equivalent atoms:
1 Li 0.0000 0.0000 0.0000 x1
2 Li 0.0121 0.3553 0.3600 x1
3 Li 0.0333 0.6775 0.6654 x1
4 Li 0.1576 0.6213 0.9317 x1
5 Li 0.1769 0.2937 0.6714 x1
6 Li 0.3270 0.5321 0.2341 x1
7 Li 0.3379 0.2049 0.9228 x1
8 Li 0.3671 0.8946 0.5784 x1
9 Li 0.4756 0.5092 0.4917 x1
10 Li 0.5078 0.8445 0.8547 x1
11 Li 0.5390 0.1643 0.1713 x1
12 Li 0.6524 0.1290 0.4371 x1
13 Li 0.6654 0.7846 0.1544 x1
14 Li 0.8189 0.7183 0.4150 x1
15 Li 0.8358 0.0338 0.7482 x1
16 Li 0.8779 0.3904 0.0765 x1
17 Co 0.1825 0.9466 0.2676 x1
18 Co 0.6860 0.4471 0.7530 x1
19 O 0.0054 0.6475 0.2359 x1
20 O 0.0103 0.2907 0.8784 x1
21 O 0.3413 0.2468 0.3447 x1
22 O 0.3428 0.9210 0.0403 x1
23 O 0.3613 0.6057 0.6934 x1
24 O 0.4821 0.8018 0.3714 x1
25 O 0.5138 0.1511 0.7346 x1
26 O 0.8214 0.4390 0.5417 x1
27 O 0.8395 0.7415 0.8477 x1
28 O 0.8789 0.0938 0.2067 x1
29 F 0.0106 0.9534 0.5677 x1
30 F 0.5288 0.4391 0.0690 x1

Principal peaks in the range 2θ from 10° to 90°, in order of rising 2θ:
| d/Å | 2θ (°) | I_rel |
| --- | --- | --- |
| 5.094 | 17.4 | 78 |
| 4.779 | 18.6 | 67 |
| 4.438 | 20.0 | 72 |
| 4.246 | 20.9 | 74 |
| 2.615 | 34.3 | 100 |
| 2.382 | 37.8 | 68 |

Li4Co7O2F14: simulated powder XRD pattern (Cu Kα X-rays), based on a cell relaxed with PBE+U.

Crystal structure
abc: 6.0517 6.0906 10.5803
angles: 91.42 105.90 118.55
Space group P1 (No. 1)
One atom of each set of equivalent atoms:
1 Li 0.0000 0.0000 0.0000 x1
2 Li 0.0023 0.5029 0.4981 x1
3 Li 0.2510 0.1593 0.3890 x1
4 Li 0.2666 0.6831 0.8864 x1
5 Co 0.1218 0.5787 0.1897 x1
6 Co 0.1506 0.0838 0.6920 x1
7 Co 0.6057 0.3242 0.9413 x1
8 Co 0.6072 0.0906 0.6929 x1
9 Co 0.6156 0.5693 0.6857 x1
10 Co 0.6229 0.0835 0.1913 x1
11 Co 0.6299 0.8222 0.4357 x1
12 O 0.3919 0.2267 0.5837 x1
13 O 0.3956 0.9977 0.8168 x1
14 F 0.3648 0.4812 0.3205 x1
15 F 0.3704 0.7273 0.0807 x1
16 F 0.3810 0.9478 0.3159 x1
17 F 0.3850 0.1907 0.0674 x1
18 F 0.3883 0.4749 0.8179 x1
19 F 0.3964 0.7180 0.5632 x1
20 F 0.8598 0.9486 0.7939 x1
21 F 0.8598 0.9786 0.3228 x1
22 F 0.8645 0.1781 0.5723 x1
23 F 0.8694 0.4724 0.8174 x1
24 F 0.8694 0.7094 0.5631 x1
25 F 0.8721 0.2085 0.0711 x1
26 F 0.8780 0.6735 0.0593 x1
27 F 0.8812 0.4395 0.3057 x1

Principal peaks in the range 2θ from 10° to 90°, in order of rising 2θ:
| d/Å | 2θ (°) | I_rel |
| --- | --- | --- |
| 5.039 | 17.6 | 61 |
| 5.001 | 17.7 | 29 |
| 4.900 | 18.1 | 100 |
| 2.634 | 34.0 | 40 |
| 2.168 | 41.7 | 46 |
| 2.160 | 41.8 | 91 |

Li5CoOF5: simulated powder XRD pattern (Cu Kα X-rays), based on a cell relaxed with PBE+U.

Crystal structure
abc: 2.9124 2.9124 12.5675
angles: 90.00 90.00 90.00
Space group P4/mmm (No. 123)
One atom of each set of equivalent atoms:
1 Li 0.0000 0.0000 0.0000 x1
2 Li 0.0000 0.0000 0.3264 x2
3 Li 0.5000 0.5000 0.1608 x2
4 Co 0.5000 0.5000 0.5000 x1
5 O 0.0000 0.0000 0.5000 x1
6 F 0.0000 0.0000 0.1616 x2
7 F 0.5000 0.5000 0.0000 x1
8 F 0.5000 0.5000 0.3216 x2

Principal peaks in the range 2θ from 10° to 90°, in order of rising 2θ:
| d/Å | 2θ (°) | I_rel |
| --- | --- | --- |
| 6.284 | 14.1 | 62 |
| 2.837 | 31.5 | 46 |
| 2.642 | 33.9 | 32 |
| 2.095 | 43.2 | 50 |
| 2.059 | 44.0 | 100 |
| 1.468 | 63.3 | 53 |

Li3Co2OF5: simulated powder XRD pattern (Cu Kα X-rays), based on a cell relaxed with PBE+U.

Crystal structure
abc: 5.1315 5.1395 9.3696
angles: 99.40 101.64 109.05
Space group P1 (No. 1)
One atom of each set of equivalent atoms:
1 Li 0.0000 0.0000 0.0000 x1
2 Li 0.0757 0.5671 0.1455 x1
3 Li 0.3174 0.3096 0.6451 x1
4 Li 0.4090 0.9124 0.8155 x1
5 Li 0.6504 0.6426 0.2911 x1
6 Li 0.7476 0.2342 0.4744 x1
7 Co 0.2723 0.7495 0.4996 x1
8 Co 0.5761 0.0734 0.1448 x1
9 Co 0.8052 0.8012 0.6460 x1
10 Co 0.9000 0.4136 0.7908 x1
11 O 0.0688 0.5916 0.6437 x1
12 O 0.5969 0.0653 0.6469 x1
13 F 0.1511 0.1467 0.8073 x1
14 F 0.2128 0.7507 0.9813 x1
15 F 0.3353 0.3097 0.1453 x1
16 F 0.4211 0.8752 0.3099 x1
17 F 0.4889 0.4679 0.4770 x1
18 F 0.6372 0.6486 0.8134 x1
19 F 0.7666 0.2295 0.9785 x1
20 F 0.8132 0.8342 0.1459 x1
21 F 0.9022 0.4310 0.3116 x1
22 F 0.9926 0.9884 0.4856 x1

Principal peaks in the range 2θ from 10° to 90°, in order of rising 2θ:
| d/Å | 2θ (°) | I_rel |
| --- | --- | --- |
| 3.783 | 23.5 | 100 |
| 3.733 | 23.8 | 44 |
| 3.725 | 23.9 | 40 |
| 2.105 | 43.0 | 69 |
| 2.098 | 43.1 | 68 |
| 2.090 | 43.3 | 67 |